Entry 1:
Diffraction record for Tm4UP5. The powder XRD pattern is calculated, not measured: it uses a DFT-relaxed cell (PBE, Alexandria) and Cu Ka.

Crystal structure
```
Tm4UP5
1.0
-1.967 2.787 9.885
1.967 -2.787 9.885
1.967 2.787 -9.885
Tm U P
4 1 5
direct
0.102 0.102 0.000
0.298 0.298 0.000
0.702 0.702 0.000
0.898 0.898 0.000
0.500 0.500 0.000
0.000 0.500 0.500
0.200 0.700 0.500
0.401 0.901 0.500
0.599 0.099 0.500
0.800 0.300 0.500
```

Principal peaks in the range 5° ≤ 2θ ≤ 70°, by angle:
8.95 deg, intensity 1; 27.71 deg, intensity 95; 32.10 deg, intensity 100; 45.90 deg, intensity 12; 46.06 deg, intensity 61; 54.52 deg, intensity 23; 54.64 deg, intensity 23; 57.12 deg, intensity 13; 57.33 deg, intensity 13; 67.14 deg, intensity 12



Entry 2:
Diffraction record for Y3TmP4. The powder XRD pattern is calculated, not measured: it uses a DFT-relaxed cell (PBE, Alexandria) and Cu Ka.

Crystal structure
```
Y3TmP4
1.0
6.922 0.000 0.000
0.000 8.002 0.000
-2.310 0.000 6.525
Y Tm P
6 2 8
direct
0.000 0.125 0.250
0.000 0.375 0.750
0.000 0.625 0.250
0.000 0.875 0.750
0.500 0.125 0.750
0.500 0.875 0.250
0.500 0.375 0.250
0.500 0.625 0.750
0.251 0.127 0.002
0.251 0.873 0.502
0.253 0.377 0.500
0.253 0.623 0.000
0.747 0.377 0.000
0.747 0.623 0.500
0.749 0.127 0.498
0.749 0.873 0.998
```

Principal peaks in the range 5° ≤ 2θ ≤ 70°, by angle:
11.06 deg, intensity 3; 13.57 deg, intensity 4; 17.54 deg, intensity 5; 26.13 deg, intensity 3; 27.32 deg, intensity 60; 31.65 deg, intensity 100; 45.37 deg, intensity 71; 53.78 deg, intensity 29; 56.38 deg, intensity 25; 66.11 deg, intensity 11



Entry 3:
Diffraction record for TmZrP2. The powder XRD pattern is calculated, not measured: it uses a DFT-relaxed cell (PBE, Alexandria) and Cu Ka.

Crystal structure
```
TmZrP2
1.0
-2.713 2.713 5.421
2.713 -2.713 5.421
2.713 2.713 -5.421
Tm Zr P
2 2 4
direct
0.375 0.625 0.750
0.625 0.375 0.250
0.125 0.875 0.250
0.875 0.125 0.750
0.122 0.372 0.750
0.372 0.122 0.250
0.628 0.878 0.750
0.878 0.628 0.250
```

Principal peaks in the range 5° ≤ 2θ ≤ 70°, by angle:
18.29 deg, intensity 14; 28.50 deg, intensity 74; 29.70 deg, intensity 5; 33.03 deg, intensity 100; 38.00 deg, intensity 5; 45.01 deg, intensity 5; 47.41 deg, intensity 71; 56.25 deg, intensity 34; 58.99 deg, intensity 24; 69.30 deg, intensity 11